Record 1
# UPdSeS
Calculated XRD peak list, copper Kα. Input: the PBE geometry in Alexandria.
No peak broadening, texture or thermal motion is included.

Main lines, sorted by position (10 to 90 degrees two-theta):
Position (°2θ)	d/Å	intensity	hkl
13.94	6.352	50	0 0 3
25.84	3.448	26	1 0 1
27.10	3.290	44	0 1 2
31.69	2.824	100	1 0 4
34.77	2.580	46	0 1 5
42.02	2.150	31	1 0 7
44.77	2.024	54	1 1 0
63.59	1.463	23	1 1 9

Atomic structure:
Lattice parameters (Å, degrees): 4.0484 4.0484 19.0572 90.00 90.00 120.00
Space group R3m (No. 160, hexagonal axes)
Asymmetric unit:
U: 0.0000 0.0000 0.0000 [3 per cell]
Pd: 0.0000 0.0000 0.5552 [3 per cell]
Se: 0.0000 0.0000 0.7530 [3 per cell]
S: 0.0000 0.0000 0.2561 [3 per cell]

***

Record 2
# VPdSeS
Calculated XRD peak list, copper Kα. Input: the PBE geometry in Alexandria.
No peak broadening, texture or thermal motion is included.

Main lines, sorted by position (10 to 90 degrees two-theta):
Position (°2θ)	d/Å	intensity	hkl
32.32	2.770	80	1 0 1
33.07	2.709	100	0 1 2
35.97	2.497	69	0 0 9
42.96	2.105	45	1 0 7
45.86	1.979	78	0 1 8
52.31	1.749	36	1 0 10
57.16	1.612	52	1 1 0
69.43	1.354	27	1 1 9

Atomic structure:
Lattice parameters (Å, degrees): 3.2231 3.2231 22.4415 90.00 90.00 120.00
Space group R3m (No. 160, hexagonal axes)
Asymmetric unit:
V: 0.0000 0.0000 0.0000 [3 per cell]
Pd: 0.0000 0.0000 0.5153 [3 per cell]
Se: 0.0000 0.0000 0.4058 [3 per cell]
S: 0.0000 0.0000 0.2677 [3 per cell]

***

Q: Which formula does entry 1 have?
A: UPdSeS

***

Repeat the first record exactly.
# UPdSeS
Calculated XRD peak list, copper Kα. Input: the PBE geometry in Alexandria.
No peak broadening, texture or thermal motion is included.

Main lines, sorted by position (10 to 90 degrees two-theta):
Position (°2θ)	d/Å	intensity	hkl
13.94	6.352	50	0 0 3
25.84	3.448	26	1 0 1
27.10	3.290	44	0 1 2
31.69	2.824	100	1 0 4
34.77	2.580	46	0 1 5
42.02	2.150	31	1 0 7
44.77	2.024	54	1 1 0
63.59	1.463	23	1 1 9

Atomic structure:
Lattice parameters (Å, degrees): 4.0484 4.0484 19.0572 90.00 90.00 120.00
Space group R3m (No. 160, hexagonal axes)
Asymmetric unit:
U: 0.0000 0.0000 0.0000 [3 per cell]
Pd: 0.0000 0.0000 0.5552 [3 per cell]
Se: 0.0000 0.0000 0.7530 [3 per cell]
S: 0.0000 0.0000 0.2561 [3 per cell]